This entry pairs a crystal structure of LiMnNbO4 with its simulated powder XRD pattern. Radiation: Cu Kα X-rays. Structure: a structure optimized by DFT (GGA+U).
Lines closer than 0.1° are merged.

Top 6 peaks for 2θ from 10° to 90°, in order of rising 2θ:
Position (°2θ)  Rel. int.  index
17.50  24.9  1 0 1
28.76  73.2  1 1 2
33.86  100.0  2 1 1
50.96  29.0  2 0 4
54.30  32.1  3 0 3
59.57  41.8  2 2 4

Atomic structure:
```
data_LiMnNbO4
_cell_length_a 6.207
_cell_length_b 6.207
_cell_length_c 8.781
_cell_angle_alpha 90.00
_cell_angle_beta 90.00
_cell_angle_gamma 90.00
_symmetry_space_group_name_H-M 'P 43 2 2'
_symmetry_Int_Tables_number 95
loop_
_symmetry_equiv_pos_as_xyz
'x,y,z'
'-y,x,z+3/4'
'-x,-y,z+1/2'
'y,-x,z+1/4'
'x,-y,-z+1/2'
'-y,-x,-z+3/4'
'-x,y,-z'
'y,x,-z+1/4'
loop_
_atom_site_label
_atom_site_type_symbol
_atom_site_fract_x
_atom_site_fract_y
_atom_site_fract_z
Li1 Li 0.000 0.228 0.000
Mn1 Mn 0.238 0.500 0.250
Nb1 Nb 0.251 0.251 0.625
O1 O 0.004 0.250 0.749
O2 O 0.252 0.499 0.000
```